[1]
The following is a theoretical XRD peak list of Hf2Ga2Os. It was derived from a cell relaxed with GGA-PBE, using Cu Kα X-rays.
Peak positions follow from Bragg's law for the DFT cell and can differ from measured ones.

Crystal structure
Cell: 6.6818 6.6818 7.7459 Å, 90.00 90.00 90.00°
Element x y z (fractional)
Hf 0.1731 0.3258 0.0000
Hf 0.1742 0.3269 0.5000
Hf 0.3258 0.8269 0.0000
Hf 0.3269 0.8258 0.5000
Hf 0.6731 0.1742 0.5000
Hf 0.6742 0.1731 0.0000
Hf 0.8258 0.6731 0.5000
Hf 0.8269 0.6742 0.0000
Ga 0.1316 0.6316 0.2500
Ga 0.1316 0.6316 0.7500
Ga 0.3684 0.1316 0.2500
Ga 0.3684 0.1316 0.7500
Ga 0.6316 0.8684 0.2500
Ga 0.6316 0.8684 0.7500
Ga 0.8684 0.3684 0.2500
Ga 0.8684 0.3684 0.7500
Os 0.0000 0.0000 0.2136
Os 0.0000 0.0000 0.7864
Os 0.5000 0.5000 0.2864
Os 0.5000 0.5000 0.7136

Peak list (10 most intense, 5° ≤ 2θ ≤ 70°, by angle)
Position (°2θ)  intensity
29.86  32
35.49  50
38.04  100
42.80  42
46.48  5
46.92  17
56.81  8
62.10  21
63.80  13
65.37  16

=====

[2]
The following is a theoretical XRD peak list of Ca2Al5Zn3. It was derived from a cell relaxed with GGA-PBE, using Cu Kα X-rays.
Peak positions follow from Bragg's law for the DFT cell and can differ from measured ones.

Crystal structure
Cell: 4.2211 4.2211 11.2636 Å, 90.00 90.00 90.00°
Element x y z (fractional)
Ca 0.0000 0.5000 0.2439
Ca 0.5000 0.0000 0.7561
Al 0.0000 0.0000 0.5000
Al 0.0000 0.5000 0.6445
Al 0.5000 0.0000 0.3555
Al 0.5000 0.5000 0.0000
Al 0.5000 0.5000 0.5000
Zn 0.0000 0.0000 0.0000
Zn 0.0000 0.5000 0.8666
Zn 0.5000 0.0000 0.1334

Peak list (10 most intense, 5° ≤ 2θ ≤ 70°, by angle)
Position (°2θ)  intensity
7.85  100
22.49  22
26.39  22
31.90  58
33.99  90
42.85  62
44.22  40
45.65  38
54.40  24
64.39  25

=====

[3]
The following is a theoretical XRD peak list of LaErCdRu. It was derived from a cell relaxed with GGA-PBE, using Cu Kα X-rays.
Peak positions follow from Bragg's law for the DFT cell and can differ from measured ones.

Crystal structure
Cell: 3.5067 3.5067 7.9252 Å, 90.00 90.00 90.00°
Element x y z (fractional)
La 0.0000 0.0000 0.0000
Er 0.0000 0.0000 0.5703
Cd 0.5000 0.5000 0.3091
Ru 0.5000 0.5000 0.7675

Peak list (10 most intense, 5° ≤ 2θ ≤ 70°, by angle)
Position (°2θ)  intensity
11.16  9
34.14  100
36.23  49
42.86  10
45.80  7
50.48  6
52.17  17
59.74  12
63.83  32
64.52  6

=====

[4]
The following is a theoretical XRD peak list of KCd7Au5. It was derived from a cell relaxed with GGA-PBE, using Cu Kα X-rays.
Peak positions follow from Bragg's law for the DFT cell and can differ from measured ones.

Crystal structure
Cell: 7.6437 7.6437 7.6437 Å, 136.76 97.39 98.21°
Element x y z (fractional)
K 0.0000 0.0000 0.0000
Cd 0.2077 0.5007 0.7070
Cd 0.3420 0.3420 0.0000
Cd 0.3432 0.9916 0.3516
Cd 0.6403 0.6403 0.0000
Cd 0.6400 0.9916 0.6484
Cd 0.7711 0.2711 0.5000
Cd 0.7937 0.5007 0.2930
Au 0.2127 0.7127 0.5000
Au 0.5012 0.4990 0.5023
Au 0.5012 0.9989 0.0021
Au 0.9968 0.4990 0.9979
Au 0.9968 0.9989 0.4977

Peak list (10 most intense, 5° ≤ 2θ ≤ 70°, by angle)
Position (°2θ)  intensity
17.58  23
17.72  43
35.59  32
35.90  65
36.00  23
36.57  76
40.03  40
40.22  38
40.89  100
64.53  23

=====

[5]
The following is a theoretical XRD peak list of Cd2In2I5. It was derived from a cell relaxed with GGA-PBE, using Cu Kα X-rays.
Peak positions follow from Bragg's law for the DFT cell and can differ from measured ones.

Crystal structure
Cell: 8.5771 8.5771 8.6773 Å, 114.37 114.37 41.81°
Element x y z (fractional)
Cd 0.1433 0.1433 0.3633
Cd 0.8567 0.8567 0.6367
In 0.3868 0.3868 0.2135
In 0.6132 0.6132 0.7865
I 0.0000 0.0000 0.5000
I 0.1517 0.1517 0.0317
I 0.3565 0.3565 0.6065
I 0.6435 0.6435 0.3935
I 0.8483 0.8483 0.9683

Peak list (10 most intense, 5° ≤ 2θ ≤ 70°, by angle)
Position (°2θ)  intensity
20.60  42
24.77  67
25.47  65
29.18  100
29.68  56
34.20  38
34.47  58
38.63  46
45.56  33
51.88  30

=====

[6]
The following is a theoretical XRD peak list of Ba4Pa3MoN8. It was derived from a cell relaxed with GGA-PBE, using Cu Kα X-rays.
Peak positions follow from Bragg's law for the DFT cell and can differ from measured ones.

Crystal structure
Cell: 7.5815 7.5815 7.5815 Å, 55.83 55.83 55.83°
Element x y z (fractional)
Ba 0.0000 0.0000 0.0000
Ba 0.0000 0.5000 0.5000
Ba 0.5000 0.0000 0.5000
Ba 0.5000 0.5000 0.0000
Pa 0.0000 0.0000 0.5000
Pa 0.0000 0.5000 0.0000
Pa 0.5000 0.0000 0.0000
Mo 0.5000 0.5000 0.5000
N 0.2236 0.2236 0.2236
N 0.2315 0.7197 0.7197
N 0.2803 0.2803 0.7685
N 0.2803 0.7685 0.2803
N 0.7197 0.2315 0.7197
N 0.7197 0.7197 0.2315
N 0.7685 0.2803 0.2803
N 0.7764 0.7764 0.7764

Peak list (10 most intense, 5° ≤ 2θ ≤ 70°, by angle)
Position (°2θ)  intensity
13.88  13
27.98  45
30.55  100
34.69  97
48.21  35
51.49  32
56.66  21
59.62  34
61.06  15
63.58  16

=====

[7]
The following is a theoretical XRD peak list of Dy4ErTm4. It was derived from a cell relaxed with GGA-PBE, using Cu Kα X-rays.
Peak positions follow from Bragg's law for the DFT cell and can differ from measured ones.

Crystal structure
Cell: 7.8463 7.8463 7.8463 Å, 95.71 95.71 143.23°
Element x y z (fractional)
Dy 0.0000 0.3325 0.3325
Dy 0.0000 0.6675 0.6675
Dy 0.3325 0.0000 0.3325
Dy 0.6675 0.0000 0.6675
Er 0.0000 0.0000 0.0000
Tm 0.3336 0.3336 0.6672
Tm 0.3336 0.6664 0.0000
Tm 0.6664 0.3336 0.0000
Tm 0.6664 0.6664 0.3328

Peak list (7 most intense, 5° ≤ 2θ ≤ 70°, by angle)
Position (°2θ)  intensity
31.24  100
36.19  34
36.30  17
52.17  36
62.03  28
62.17  14
65.16  12

=====

[8]
The following is a theoretical XRD peak list of Hg2BrF8. It was derived from a cell relaxed with GGA-PBE, using Cu Kα X-rays.
Peak positions follow from Bragg's law for the DFT cell and can differ from measured ones.

Crystal structure
Cell: 7.5306 7.5306 3.9606 Å, 90.29 90.29 123.78°
Element x y z (fractional)
Hg 0.1333 0.8667 0.0000
Hg 0.8667 0.1333 0.0000
Br 0.5023 0.5023 0.9669
F 0.1311 0.1311 0.7260
F 0.1999 0.7919 0.4912
F 0.2647 0.4677 0.1949
F 0.4677 0.2647 0.1949
F 0.5304 0.7379 0.7504
F 0.7379 0.5304 0.7504
F 0.7919 0.1999 0.4912
F 0.8234 0.8234 0.2308

Peak list (10 most intense, 5° ≤ 2θ ≤ 70°, by angle)
Position (°2θ)  intensity
14.15  60
22.45  75
23.68  100
25.10  70
26.82  35
32.76  51
32.96  29
34.11  39
35.27  27
43.37  32